(1)
AcPrPu2O8: simulated X-ray diffraction stick pattern (Cu Kα, 1.54184 Å), based on a cell relaxed with GGA-PBE.

Peak list (10 most intense, 10 to 90 degrees two-theta, low angle first)
- 23.2°, I 100
- 29.0°, I 96
- 33.0°, I 31
- 44.5°, I 73
- 47.3°, I 16
- 53.3°, I 18
- 54.6°, I 19
- 56.5°, I 21
- 67.0°, I 19
- 75.1°, I 15

a = 6.595 Å, b = 6.595 Å, c = 6.595 Å
α = 108.78°, β = 108.78°, γ = 110.85°
Atoms (fractional coordinates):
Ac 0.000 0.000 0.000
Pr 0.250 0.750 0.500
Pu 0.500 0.500 0.000
Pu 0.750 0.250 0.500
O 0.306 0.123 0.817
O 0.306 0.489 0.183
O 0.374 0.049 0.325
O 0.511 0.694 0.817
O 0.723 0.049 0.675
O 0.877 0.694 0.183
O 0.951 0.277 0.325
O 0.951 0.626 0.675

=====

(2)
DyEr2GaC: simulated X-ray diffraction stick pattern (Cu Kα, 1.54184 Å), based on a cell relaxed with GGA-PBE.

Peak list (10 most intense, 10 to 90 degrees two-theta, low angle first)
- 18.5°, I 6
- 32.1°, I 100
- 37.0°, I 19
- 37.4°, I 36
- 53.6°, I 25
- 54.0°, I 12
- 63.6°, I 14
- 64.2°, I 28
- 67.2°, I 13
- 88.1°, I 12

a = 4.805 Å, b = 4.805 Å, c = 4.861 Å
α = 90.00°, β = 90.00°, γ = 90.00°
Atoms (fractional coordinates):
Dy 0.000 0.000 0.000
Er 0.000 0.500 0.500
Er 0.500 0.000 0.500
Ga 0.500 0.500 0.000
C 0.000 0.000 0.500

=====

(3)
GdMgAgAu: simulated X-ray diffraction stick pattern (Cu Kα, 1.54184 Å), based on a cell relaxed with GGA-PBE.

Peak list (10 most intense, 10 to 90 degrees two-theta, low angle first)
- 21.9°, I 23
- 25.4°, I 9
- 36.2°, I 100
- 42.7°, I 13
- 52.1°, I 18
- 57.2°, I 6
- 65.1°, I 36
- 76.8°, I 11
- 81.0°, I 4
- 87.9°, I 16

a = 4.967 Å, b = 4.967 Å, c = 4.967 Å
α = 60.00°, β = 60.00°, γ = 60.00°
Atoms (fractional coordinates):
Gd 0.000 0.000 0.000
Mg 0.500 0.500 0.500
Ag 0.250 0.250 0.250
Au 0.750 0.750 0.750

=====

(4)
Cs2RbRhCl6: simulated X-ray diffraction stick pattern (Cu Kα, 1.54184 Å), based on a cell relaxed with GGA-PBE.

Peak list (10 most intense, 10 to 90 degrees two-theta, low angle first)
- 22.9°, I 100
- 28.2°, I 19
- 32.6°, I 55
- 40.3°, I 41
- 46.8°, I 35
- 52.7°, I 26
- 58.2°, I 11
- 63.4°, I 27
- 73.2°, I 11
- 77.8°, I 13

a = 7.761 Å, b = 7.761 Å, c = 7.761 Å
α = 60.00°, β = 60.00°, γ = 60.00°
Atoms (fractional coordinates):
Cs 0.250 0.250 0.250
Cs 0.750 0.750 0.750
Rb 0.000 0.000 0.000
Rh 0.500 0.500 0.500
Cl 0.284 0.284 0.716
Cl 0.284 0.716 0.284
Cl 0.284 0.716 0.716
Cl 0.716 0.284 0.284
Cl 0.716 0.284 0.716
Cl 0.716 0.716 0.284

=====

What did the first record say?
AcPrPu2O8: simulated X-ray diffraction stick pattern (Cu Kα, 1.54184 Å), based on a cell relaxed with GGA-PBE.

Peak list (10 most intense, 10 to 90 degrees two-theta, low angle first)
- 23.2°, I 100
- 29.0°, I 96
- 33.0°, I 31
- 44.5°, I 73
- 47.3°, I 16
- 53.3°, I 18
- 54.6°, I 19
- 56.5°, I 21
- 67.0°, I 19
- 75.1°, I 15

a = 6.595 Å, b = 6.595 Å, c = 6.595 Å
α = 108.78°, β = 108.78°, γ = 110.85°
Atoms (fractional coordinates):
Ac 0.000 0.000 0.000
Pr 0.250 0.750 0.500
Pu 0.500 0.500 0.000
Pu 0.750 0.250 0.500
O 0.306 0.123 0.817
O 0.306 0.489 0.183
O 0.374 0.049 0.325
O 0.511 0.694 0.817
O 0.723 0.049 0.675
O 0.877 0.694 0.183
O 0.951 0.277 0.325
O 0.951 0.626 0.675